# 1
PICl: theoretical X-ray diffraction stick pattern (Cu Kα, 1.54184 Å), based on a DFT-relaxed cell (PBE, Alexandria).
Lines closer than 0.1° are merged.

Crystal structure
Cell lengths 5.914, 7.131, 7.136 Å; angles 101.08, 102.60, 103.44 degrees
Element x y z (fractional)
P (0.022, 0.367, 0.059)
P (0.978, 0.633, 0.941)
I (0.130, 0.871, 0.276)
I (0.870, 0.129, 0.724)
Cl (0.285, 0.672, 0.841)
Cl (0.715, 0.328, 0.159)

Peak list (12 most intense, 15 to 90 degrees two-theta, by angle)
2theta, Rel. int.
16.1, 100
17.7, 20
21.4, 25
22.7, 57
23.6, 35
26.5, 60
26.9, 24
29.1, 18
31.1, 16
31.4, 20
32.7, 39
38.9, 18


# 2
CaGa2Hg8: theoretical X-ray diffraction stick pattern (Cu Kα, 1.54184 Å), based on a DFT-relaxed cell (PBE, Alexandria).
Lines closer than 0.1° are merged.

Crystal structure
Cell lengths 7.862, 7.862, 4.759 Å; angles 90.07, 90.07, 106.17 degrees
Element x y z (fractional)
Ca (0.000, 0.000, 0.000)
Ga (0.390, 0.610, 0.500)
Ga (0.610, 0.390, 0.500)
Hg (0.039, 0.315, 0.502)
Hg (0.259, 0.741, 0.000)
Hg (0.315, 0.039, 0.502)
Hg (0.330, 0.330, 0.001)
Hg (0.670, 0.670, 0.999)
Hg (0.685, 0.961, 0.498)
Hg (0.741, 0.259, 0.000)
Hg (0.961, 0.685, 0.498)

Peak list (12 most intense, 15 to 90 degrees two-theta, by angle)
2theta, Rel. int.
22.1, 15
23.6, 16
26.6, 19
30.2, 38
34.2, 100
34.9, 63
35.7, 43
37.8, 37
53.0, 28
62.7, 21
66.0, 15
69.7, 22


# 3
CaPm2Zn2Sn2: theoretical X-ray diffraction stick pattern (Cu Kα, 1.54184 Å), based on a DFT-relaxed cell (PBE, Alexandria).
Lines closer than 0.1° are merged.

Crystal structure
Cell lengths 10.055, 10.055, 10.055 Å; angles 27.16, 27.16, 27.16 degrees
Element x y z (fractional)
Ca (0.000, 0.000, 0.000)
Pm (0.130, 0.130, 0.130)
Pm (0.870, 0.870, 0.870)
Zn (0.417, 0.417, 0.417)
Zn (0.583, 0.583, 0.583)
Sn (0.264, 0.264, 0.264)
Sn (0.736, 0.736, 0.736)

Peak list (12 most intense, 15 to 90 degrees two-theta, by angle)
2theta, Rel. int.
18.3, 23
30.7, 100
33.0, 50
38.1, 93
42.6, 17
46.3, 17
49.7, 26
51.3, 15
62.0, 27
64.3, 24
65.7, 14
68.9, 18


# 4
Tb2SmSe: theoretical X-ray diffraction stick pattern (Cu Kα, 1.54184 Å), based on a DFT-relaxed cell (PBE, Alexandria).
Lines closer than 0.1° are merged.

Crystal structure
Cell lengths 3.819, 3.819, 28.565 Å; angles 90.00, 90.00, 120.00 degrees
Element x y z (fractional)
Tb (0.000, 0.000, 0.000)
Tb (0.000, 0.000, 0.204)
Tb (0.333, 0.667, 0.667)
Tb (0.333, 0.667, 0.870)
Tb (0.667, 0.333, 0.333)
Tb (0.667, 0.333, 0.537)
Sm (0.000, 0.000, 0.769)
Sm (0.333, 0.667, 0.436)
Sm (0.667, 0.333, 0.102)
Se (0.000, 0.000, 0.602)
Se (0.333, 0.667, 0.269)
Se (0.667, 0.333, 0.935)

Peak list (12 most intense, 15 to 90 degrees two-theta, by angle)
2theta, Rel. int.
27.1, 16
27.7, 15
28.1, 21
29.8, 39
31.2, 100
34.9, 21
41.8, 23
47.6, 39
49.8, 12
56.2, 19
58.1, 21
78.3, 23


# 5
Ho4BiTe: theoretical X-ray diffraction stick pattern (Cu Kα, 1.54184 Å), based on a DFT-relaxed cell (PBE, Alexandria).
Lines closer than 0.1° are merged.

Crystal structure
Cell lengths 6.425, 7.352, 8.876 Å; angles 78.02, 68.93, 89.83 degrees
Element x y z (fractional)
Ho (0.021, 0.057, 0.156)
Ho (0.177, 0.444, 0.844)
Ho (0.248, 0.373, 0.298)
Ho (0.456, 0.875, 0.298)
Ho (0.544, 0.125, 0.702)
Ho (0.752, 0.627, 0.702)
Ho (0.823, 0.556, 0.156)
Ho (0.979, 0.943, 0.844)
Bi (0.361, 0.750, 0.001)
Bi (0.639, 0.250, 0.999)
Te (0.000, 0.000, 0.500)
Te (0.500, 0.500, 0.500)

Peak list (12 most intense, 15 to 90 degrees two-theta, by angle)
2theta, Rel. int.
23.0, 28
29.4, 40
30.1, 35
30.2, 34
31.0, 21
31.5, 100
35.7, 25
35.8, 34
36.2, 27
37.1, 38
39.5, 21
41.6, 31


# 6
K2Sn4AsAu3: theoretical X-ray diffraction stick pattern (Cu Kα, 1.54184 Å), based on a DFT-relaxed cell (PBE, Alexandria).
Lines closer than 0.1° are merged.

Crystal structure
Cell lengths 4.877, 4.877, 11.386 Å; angles 90.00, 90.00, 90.00 degrees
Element x y z (fractional)
K (0.000, 0.500, 0.244)
K (0.500, 0.000, 0.756)
Sn (0.000, 0.000, 0.500)
Sn (0.000, 0.500, 0.871)
Sn (0.500, 0.000, 0.129)
Sn (0.500, 0.500, 0.500)
As (0.500, 0.500, 0.000)
Au (0.000, 0.000, 0.000)
Au (0.000, 0.500, 0.629)
Au (0.500, 0.000, 0.371)

Peak list (12 most intense, 15 to 90 degrees two-theta, by angle)
2theta, Rel. int.
15.6, 38
19.8, 84
29.8, 53
30.3, 78
36.9, 89
41.1, 100
42.2, 26
43.9, 25
48.1, 28
53.1, 31
58.6, 21
69.3, 45


# 7
Tb7Co2Bi2: theoretical X-ray diffraction stick pattern (Cu Kα, 1.54184 Å), based on a DFT-relaxed cell (PBE, Alexandria).
Lines closer than 0.1° are merged.

Crystal structure
Cell lengths 9.783, 9.783, 9.783 Å; angles 158.39, 65.77, 118.73 degrees
Element x y z (fractional)
Tb (0.000, 0.000, 0.000)
Tb (0.051, 0.368, 0.682)
Tb (0.056, 0.713, 0.343)
Tb (0.370, 0.713, 0.657)
Tb (0.424, 0.560, 0.864)
Tb (0.686, 0.368, 0.318)
Tb (0.696, 0.560, 0.136)
Co (0.292, 0.054, 0.238)
Co (0.816, 0.054, 0.762)
Bi (0.323, 0.323, 0.000)
Bi (0.728, 0.228, 0.500)

Peak list (12 most intense, 15 to 90 degrees two-theta, by angle)
2theta, Rel. int.
25.9, 20
28.1, 33
30.8, 42
31.5, 100
32.7, 38
34.0, 88
34.5, 42
36.5, 19
38.2, 20
44.3, 21
49.7, 35
60.1, 35


# 8
CsCa2GaF8: theoretical X-ray diffraction stick pattern (Cu Kα, 1.54184 Å), based on a DFT-relaxed cell (PBE, Alexandria).
Lines closer than 0.1° are merged.

Crystal structure
Cell lengths 5.336, 5.377, 7.819 Å; angles 79.31, 80.28, 79.17 degrees
Element x y z (fractional)
Cs (0.000, 0.000, 0.000)
Ca (0.450, 0.449, 0.244)
Ca (0.550, 0.551, 0.756)
Ga (0.000, 0.000, 0.500)
F (0.171, 0.765, 0.682)
F (0.226, 0.814, 0.326)
F (0.242, 0.225, 0.478)
F (0.356, 0.330, 0.007)
F (0.644, 0.670, 0.993)
F (0.758, 0.775, 0.522)
F (0.774, 0.186, 0.674)
F (0.829, 0.235, 0.318)

Peak list (12 most intense, 15 to 90 degrees two-theta, by angle)
2theta, Rel. int.
17.0, 62
22.1, 100
23.4, 21
26.1, 67
26.7, 49
27.1, 45
31.0, 26
31.2, 30
34.6, 20
35.1, 19
38.6, 21
47.7, 21


# 9
K2Cu5TeS3O19: theoretical X-ray diffraction stick pattern (Cu Kα, 1.54184 Å), based on a DFT-relaxed cell (PBE, Alexandria).
Lines closer than 0.1° are merged.

Crystal structure
Cell lengths 7.729, 12.185, 9.447 Å; angles 90.00, 112.04, 90.00 degrees
Element x y z (fractional)
K (0.000, 0.000, 0.000)
K (0.000, 0.500, 0.000)
K (0.044, 0.250, 0.470)
K (0.956, 0.750, 0.530)
Cu (0.464, 0.625, 0.734)
Cu (0.464, 0.875, 0.734)
Cu (0.487, 0.134, 0.721)
Cu (0.487, 0.366, 0.721)
Cu (0.500, 0.000, 0.000)
Cu (0.500, 0.500, 0.000)
Cu (0.513, 0.634, 0.279)
Cu (0.513, 0.866, 0.279)
Cu (0.536, 0.125, 0.266)
Cu (0.536, 0.375, 0.266)
Te (0.230, 0.250, 0.932)
Te (0.770, 0.750, 0.068)
S (0.190, 0.750, 0.946)
S (0.211, 0.550, 0.402)
S (0.211, 0.950, 0.402)
S (0.789, 0.050, 0.598)
S (0.789, 0.450, 0.598)
S (0.810, 0.250, 0.054)
O (0.018, 0.250, 0.092)
O (0.048, 0.599, 0.282)
O (0.048, 0.901, 0.282)
O (0.178, 0.058, 0.451)
O (0.178, 0.442, 0.451)
O (0.226, 0.750, 0.802)
O (0.272, 0.632, 0.533)
O (0.272, 0.649, 0.036)
O (0.272, 0.851, 0.036)
O (0.272, 0.868, 0.533)
O (0.343, 0.250, 0.775)
O (0.366, 0.124, 0.049)
O (0.366, 0.376, 0.049)
O (0.369, 0.532, 0.343)
O (0.369, 0.968, 0.343)
O (0.393, 0.012, 0.789)
O (0.393, 0.488, 0.789)
O (0.426, 0.250, 0.291)
O (0.460, 0.750, 0.372)
O (0.540, 0.250, 0.628)
O (0.574, 0.750, 0.709)
O (0.607, 0.512, 0.211)
O (0.607, 0.988, 0.211)
O (0.631, 0.032, 0.657)
O (0.631, 0.468, 0.657)
O (0.634, 0.624, 0.951)
O (0.634, 0.876, 0.951)
O (0.657, 0.750, 0.225)
O (0.728, 0.132, 0.467)
O (0.728, 0.149, 0.964)
O (0.728, 0.351, 0.964)
O (0.728, 0.368, 0.467)
O (0.774, 0.250, 0.198)
O (0.822, 0.558, 0.549)
O (0.822, 0.942, 0.549)
O (0.952, 0.099, 0.718)
O (0.952, 0.401, 0.718)
O (0.982, 0.750, 0.908)

Peak list (12 most intense, 15 to 90 degrees two-theta, by angle)
2theta, Rel. int.
23.8, 30
25.2, 24
25.5, 59
27.3, 100
27.6, 80
32.0, 47
33.8, 30
35.4, 48
35.9, 50
39.3, 44
54.1, 20
56.4, 25


# 10
Ba3PtIO: theoretical X-ray diffraction stick pattern (Cu Kα, 1.54184 Å), based on a DFT-relaxed cell (PBE, Alexandria).
Lines closer than 0.1° are merged.

Crystal structure
Cell lengths 10.427, 4.541, 10.556 Å; angles 90.00, 104.48, 90.00 degrees
Element x y z (fractional)
Ba (0.058, 0.250, 0.347)
Ba (0.342, 0.250, 0.974)
Ba (0.365, 0.750, 0.657)
Ba (0.635, 0.250, 0.343)
Ba (0.658, 0.750, 0.026)
Ba (0.942, 0.750, 0.653)
Pt (0.151, 0.250, 0.650)
Pt (0.849, 0.750, 0.350)
I (0.329, 0.750, 0.281)
I (0.671, 0.250, 0.719)
O (0.418, 0.750, 0.896)
O (0.582, 0.250, 0.104)

Peak list (12 most intense, 15 to 90 degrees two-theta, by angle)
2theta, Rel. int.
21.4, 11
26.2, 42
26.4, 100
29.2, 20
34.2, 36
34.3, 10
39.7, 19
40.6, 18
40.7, 10
40.8, 12
48.2, 16
50.3, 13


# 11
MgNiTe2: theoretical X-ray diffraction stick pattern (Cu Kα, 1.54184 Å), based on a DFT-relaxed cell (PBE, Alexandria).
Lines closer than 0.1° are merged.

Crystal structure
Cell lengths 3.737, 4.539, 12.699 Å; angles 90.00, 90.00, 90.00 degrees
Element x y z (fractional)
Mg (0.000, 0.000, 0.000)
Mg (0.500, 0.500, 0.500)
Ni (0.000, 0.000, 0.500)
Ni (0.500, 0.500, 0.000)
Te (0.000, 0.500, 0.138)
Te (0.000, 0.500, 0.862)
Te (0.500, 0.000, 0.362)
Te (0.500, 0.000, 0.638)

Peak list (12 most intense, 15 to 90 degrees two-theta, by angle)
2theta, Rel. int.
20.8, 100
24.8, 24
28.8, 33
31.0, 22
31.9, 53
34.1, 24
39.7, 27
42.3, 83
48.7, 15
51.8, 27
53.5, 15
73.9, 15


# 12
Be2Cu2Pd: theoretical X-ray diffraction stick pattern (Cu Kα, 1.54184 Å), based on a DFT-relaxed cell (PBE, Alexandria).
Lines closer than 0.1° are merged.

Crystal structure
Cell lengths 2.835, 14.812, 2.718 Å; angles 90.00, 90.00, 90.00 degrees
Element x y z (fractional)
Be (0.000, 0.094, 0.000)
Be (0.000, 0.906, 0.000)
Be (0.500, 0.406, 0.000)
Be (0.500, 0.594, 0.000)
Cu (0.000, 0.318, 0.500)
Cu (0.000, 0.682, 0.500)
Cu (0.500, 0.182, 0.500)
Cu (0.500, 0.818, 0.500)
Pd (0.000, 0.500, 0.500)
Pd (0.500, 0.000, 0.500)

Peak list (12 most intense, 15 to 90 degrees two-theta, by angle)
2theta, Rel. int.
24.0, 26
32.1, 94
33.0, 100
36.4, 63
41.2, 18
44.2, 88
46.7, 82
49.9, 60
56.2, 68
85.8, 24
87.0, 23
88.0, 27